Theoretical XRD peak list
Compound: K4ErPa3Se8
Radiation: Cu Kα X-rays
Structure: a cell relaxed with GGA-PBE
Peak positions follow from Bragg's law for the DFT cell and can differ from measured ones.

Structure:
a = 9.196 Å, b = 9.196 Å, c = 9.196 Å
α = 53.78°, β = 53.78°, γ = 53.78°
Element x y z (fractional)
K: 0.000 0.000 0.000
K: 0.000 0.500 0.500
K: 0.500 0.000 0.500
K: 0.500 0.500 0.000
Er: 0.500 0.500 0.500
Pa: 0.000 0.000 0.500
Pa: 0.000 0.500 0.000
Pa: 0.500 0.000 0.000
Se: 0.238 0.238 0.238
Se: 0.241 0.734 0.734
Se: 0.266 0.266 0.759
Se: 0.266 0.759 0.266
Se: 0.734 0.241 0.734
Se: 0.734 0.734 0.241
Se: 0.759 0.266 0.266
Se: 0.762 0.762 0.762

Top 10 peaks for 5 to 70 degrees two-theta, by angle:
| d/Å | Rel. int. |
| --- | --- |
| 7.843 | 75 |
| 3.560 | 21 |
| 3.072 | 100 |
| 2.457 | 22 |
| 2.278 | 38 |
| 2.079 | 34 |
| 2.010 | 17 |
| 1.839 | 16 |
| 1.722 | 18 |
| 1.427 | 14 |

Theoretical XRD peak list
Compound: Sm3Ni7Pd2
Radiation: Cu Kα X-rays
Structure: a cell relaxed with GGA-PBE
Peak positions follow from Bragg's law for the DFT cell and can differ from measured ones.

Structure:
a = 8.935 Å, b = 8.935 Å, c = 8.935 Å
α = 33.12°, β = 33.12°, γ = 33.12°
Element x y z (fractional)
Sm: 0.000 0.000 0.000
Sm: 0.139 0.139 0.139
Sm: 0.861 0.861 0.861
Ni: 0.086 0.586 0.586
Ni: 0.414 0.414 0.914
Ni: 0.414 0.914 0.414
Ni: 0.500 0.500 0.500
Ni: 0.586 0.086 0.586
Ni: 0.586 0.586 0.086
Ni: 0.914 0.414 0.414
Pd: 0.333 0.333 0.333
Pd: 0.667 0.667 0.667

Top 10 peaks for 5 to 70 degrees two-theta, by angle:
| d/Å | Rel. int. |
| --- | --- |
| 2.796 | 29 |
| 2.571 | 22 |
| 2.546 | 55 |
| 2.197 | 30 |
| 2.180 | 100 |
| 2.109 | 13 |
| 2.040 | 16 |
| 2.022 | 18 |
| 1.407 | 17 |
| 1.388 | 23 |

Theoretical XRD peak list
Compound: LiPm5In4
Radiation: Cu Kα X-rays
Structure: a cell relaxed with GGA-PBE
Peak positions follow from Bragg's law for the DFT cell and can differ from measured ones.

Structure:
a = 3.704 Å, b = 3.704 Å, c = 20.548 Å
α = 90.00°, β = 90.00°, γ = 90.00°
Element x y z (fractional)
Li: 0.000 0.000 0.000
Pm: 0.500 0.500 0.097
Pm: 0.500 0.500 0.297
Pm: 0.500 0.500 0.500
Pm: 0.500 0.500 0.703
Pm: 0.500 0.500 0.903
In: 0.000 0.000 0.193
In: 0.000 0.000 0.398
In: 0.000 0.000 0.602
In: 0.000 0.000 0.807

Top 10 peaks for 5 to 70 degrees two-theta, by angle:
| d/Å | Rel. int. |
| --- | --- |
| 10.274 | 4 |
| 4.110 | 3 |
| 3.704 | 5 |
| 2.752 | 100 |
| 2.619 | 44 |
| 2.055 | 10 |
| 1.852 | 16 |
| 1.617 | 19 |
| 1.537 | 34 |
| 1.376 | 11 |

Theoretical XRD peak list
Compound: NaPuIBr2
Radiation: Cu Kα X-rays
Structure: a cell relaxed with GGA-PBE
Peak positions follow from Bragg's law for the DFT cell and can differ from measured ones.

Structure:
a = 8.166 Å, b = 8.166 Å, c = 8.166 Å
α = 144.94°, β = 144.94°, γ = 50.42°
Element x y z (fractional)
Na: 0.000 0.000 0.000
Pu: 0.717 0.717 0.000
I: 0.328 0.328 0.000
Br: 0.102 0.602 0.500
Br: 0.602 0.102 0.500

Top 10 peaks for 5 to 70 degrees two-theta, by angle:
| d/Å | Rel. int. |
| --- | --- |
| 7.388 | 68 |
| 4.667 | 29 |
| 3.480 | 100 |
| 3.147 | 69 |
| 2.533 | 66 |
| 2.460 | 44 |
| 2.334 | 17 |
| 2.009 | 58 |
| 1.765 | 25 |
| 1.523 | 26 |

Theoretical XRD peak list
Compound: K6AgSn2
Radiation: Cu Kα X-rays
Structure: a cell relaxed with GGA-PBE
Peak positions follow from Bragg's law for the DFT cell and can differ from measured ones.

Structure:
a = 11.748 Å, b = 11.748 Å, c = 11.748 Å
α = 30.62°, β = 30.62°, γ = 30.62°
Element x y z (fractional)
K: 0.077 0.077 0.077
K: 0.196 0.196 0.196
K: 0.309 0.309 0.309
K: 0.691 0.691 0.691
K: 0.804 0.804 0.804
K: 0.923 0.923 0.923
Ag: 0.500 0.500 0.500
Sn: 0.418 0.418 0.418
Sn: 0.582 0.582 0.582

Top 10 peaks for 5 to 70 degrees two-theta, by angle:
| d/Å | Rel. int. |
| --- | --- |
| 11.188 | 19 |
| 5.305 | 62 |
| 5.117 | 23 |
| 3.307 | 19 |
| 3.102 | 100 |
| 2.847 | 30 |
| 2.653 | 19 |
| 2.077 | 23 |
| 1.790 | 24 |
| 1.551 | 17 |

Theoretical XRD peak list
Compound: CsK2MoS4
Radiation: Cu Kα X-rays
Structure: a cell relaxed with GGA-PBE
Peak positions follow from Bragg's law for the DFT cell and can differ from measured ones.

Structure:
a = 7.388 Å, b = 6.648 Å, c = 7.858 Å
α = 60.55°, β = 51.59°, γ = 67.86°
Element x y z (fractional)
Cs: 0.000 0.000 0.000
K: 0.372 0.372 0.128
K: 0.872 0.872 0.628
Mo: 0.497 0.497 0.503
S: 0.164 0.518 0.836
S: 0.473 0.796 0.204
S: 0.518 0.164 0.482
S: 0.796 0.473 0.527

Top 10 peaks for 5 to 70 degrees two-theta, by angle:
| d/Å | Rel. int. |
| --- | --- |
| 6.006 | 76 |
| 5.068 | 45 |
| 4.302 | 44 |
| 3.873 | 93 |
| 3.497 | 54 |
| 3.280 | 99 |
| 3.003 | 48 |
| 2.878 | 100 |
| 2.215 | 48 |
| 1.653 | 37 |

Theoretical XRD peak list
Compound: LiDyF4
Radiation: Cu Kα X-rays
Structure: a cell relaxed with GGA-PBE
Peak positions follow from Bragg's law for the DFT cell and can differ from measured ones.

Structure:
a = 5.969 Å, b = 5.969 Å, c = 5.969 Å
α = 108.07°, β = 108.07°, γ = 112.31°
Element x y z (fractional)
Li: 0.375 0.625 0.750
Li: 0.625 0.375 0.250
Dy: 0.125 0.875 0.250
Dy: 0.875 0.125 0.750
F: 0.174 0.240 0.566
F: 0.174 0.608 0.934
F: 0.240 0.174 0.066
F: 0.392 0.826 0.566
F: 0.608 0.174 0.434
F: 0.760 0.826 0.934
F: 0.826 0.392 0.066
F: 0.826 0.760 0.434

Top 10 peaks for 5 to 70 degrees two-theta, by angle:
| d/Å | Rel. int. |
| --- | --- |
| 4.825 | 100 |
| 3.506 | 57 |
| 2.836 | 28 |
| 2.761 | 37 |
| 2.205 | 26 |
| 2.113 | 20 |
| 1.866 | 20 |
| 1.845 | 39 |
| 1.480 | 13 |
| 1.372 | 10 |

Theoretical XRD peak list
Compound: Hf3ZrRu4
Radiation: Cu Kα X-rays
Structure: a cell relaxed with GGA-PBE
Peak positions follow from Bragg's law for the DFT cell and can differ from measured ones.

Structure:
a = 3.242 Å, b = 4.605 Å, c = 9.213 Å
α = 90.00°, β = 90.00°, γ = 90.00°
Element x y z (fractional)
Hf: 0.000 0.000 0.000
Hf: 0.000 0.500 0.249
Hf: 0.000 0.500 0.751
Zr: 0.000 0.000 0.500
Ru: 0.500 0.000 0.248
Ru: 0.500 0.000 0.752
Ru: 0.500 0.500 0.000
Ru: 0.500 0.500 0.500

Top 10 peaks for 5 to 70 degrees two-theta, by angle:
| d/Å | Rel. int. |
| --- | --- |
| 9.213 | 5 |
| 4.606 | 2 |
| 3.257 | 5 |
| 3.242 | 2 |
| 2.303 | 50 |
| 2.298 | 100 |
| 1.877 | 2 |
| 1.628 | 17 |
| 1.621 | 8 |
| 1.456 | 2 |